The following is a computed X-ray powder pattern of Tm7SiS5. It was derived from a crystal structure in Alexandria, relaxed with GGA-PBE, using Cu Kα.
Lines closer than 0.1° are merged.

Main lines, most intense first (2θ = 10–90°):
| 2θ/deg | I (rel.) | index |
| --- | --- | --- |
| 28.8 | 100 | 0 4 1 |
| 31.0 | 99 | 0 2 7 |
| 32.5 | 91 | 1 3 2 |
| 33.7 | 53 | 1 3 3 |
| 26.8 | 36 | 1 1 3 |
| 57.3 | 35 | 2 2 7 |
| 47.0 | 33 | 2 0 0 |
| 34.6 | 31 | 0 2 8 |

Unit cell a=3.8680 b=12.5564 c=22.7680 alpha=90.00 beta=90.00 gamma=90.00
Space group Cmcm (No. 63)
Asymmetric unit:
Tm  0.0000  0.0314  0.2500
Tm  0.0000  0.1382  0.5368
Tm  0.0000  0.3119  0.1787
Tm  0.0000  0.4062  0.6156
Si  0.0000  0.3056  0.7500
S  0.0000  0.0486  0.6421
S  0.0000  0.2253  0.0713
S  0.0000  0.5000  0.0000


The following is a computed X-ray powder pattern of U6SiS5. It was derived from a crystal structure in Alexandria, relaxed with GGA-PBE, using Cu Kα.
Lines closer than 0.1° are merged.

Main lines, most intense first (2θ = 10–90°):
| 2θ/deg | I (rel.) | index |
| --- | --- | --- |
| 32.5 | 100 | 2 0 -2 |
| 27.9 | 54 | 1 3 -1 |
| 27.8 | 27 | 0 0 2 |
| 28.6 | 25 | 2 0 0 |
| 46.1 | 25 | 1 3 -3 |
| 47.2 | 24 | 3 3 -1 |
| 55.3 | 18 | 3 3 -3 |
| 57.8 | 13 | 2 6 -2 |

Unit cell a=6.6327 b=11.7552 c=6.8277 alpha=90.00 beta=109.82 gamma=90.00
Space group C2/m (No. 12)
Asymmetric unit:
U  0.2427  0.0000  0.2498
U  0.2450  0.1694  0.7451
Si  0.0000  0.5000  0.0000
S  0.0000  0.0000  0.5000
S  0.0000  0.1681  0.0000
S  0.0000  0.3385  0.5000